Entry 1:
Theoretical powder diffractogram
Compound: OsCN
Radiation: Cu Kα
Structure: the GGA-PBE geometry in Alexandria

Most intense lines, 2θ from 5° to 70°, by intensity:
hkl 0 0 1, 20.59°, I 100; hkl 1 0 1, 39.09°, I 56; hkl 0 1 0, 31.80°, I 54; hkl 1 1 1, 51.24°, I 51; hkl 0 1 1, 38.19°, I 44; hkl 1 0 0, 32.86°, I 29; hkl 1 1 2, 64.26°, I 24; hkl 1 1 0, 46.37°, I 23; hkl 1 0 2, 54.24°, I 20; hkl 0 0 2, 41.90°, I 19; hkl 0 1 2, 53.54°, I 19; hkl 0 0 3, 64.86°, I 7

Crystal structure
Cell: 2.726 2.814 4.313 Å, 90.00 90.00 90.00°
Space group Pmm2 (No. 25)
Asymmetric unit:
Os 0.000 0.000 0.000 x1
C 0.500 0.000 0.645 x1
N 0.500 0.000 0.356 x1

---

Entry 2:
Theoretical powder diffractogram
Compound: La6HoSc2
Radiation: Cu Kα
Structure: the GGA-PBE geometry in Alexandria

Most intense lines, 2θ from 5° to 70°, by intensity:
hkl 0 6 0, 30.54°, I 100; hkl 3 1 0, 29.29°, I 45; hkl 2 2 1, 32.98°, I 34; hkl 3 5 0, 38.74°, I 24; hkl 2 4 1, 37.55°, I 21; hkl 3 3 1, 41.34°, I 20; hkl 5 3 1, 57.97°, I 16; hkl 0 2 1, 26.62°, I 13; hkl 0 6 2, 60.06°, I 12; hkl 3 1 2, 59.36°, I 12; hkl 1 9 1, 54.24°, I 11; hkl 3 7 0, 46.55°, I 11

Crystal structure
Cell: 9.288 17.589 3.621 Å, 90.00 90.00 90.00°
Space group Cmmm (No. 65)
Asymmetric unit:
La 0.173 0.169 0.000 x8
La 0.176 0.000 0.500 x4
Ho 0.000 0.500 0.000 x2
Sc 0.000 0.330 0.500 x4

---

Entry 3:
Theoretical powder diffractogram
Compound: Ba6Ge5N2
Radiation: Cu Kα
Structure: the GGA-PBE geometry in Alexandria

Most intense lines, 2θ from 5° to 70°, by intensity:
hkl 1 3 1, 26.89°, I 100; hkl 1 2 2, 29.48°, I 66; hkl 0 6 0, 28.08°, I 62; hkl 0 1 3, 27.90°, I 59; hkl 1 4 2, 33.77°, I 53; hkl 1 5 0, 31.56°, I 53; hkl 2 0 0, 42.67°, I 46; hkl 0 0 3, 27.49°, I 37; hkl 1 4 1, 29.66°, I 36; hkl 0 5 3, 36.36°, I 31; hkl 1 6 3, 45.30°, I 29; hkl 0 5 2, 29.77°, I 29

Crystal structure
Cell: 4.238 19.063 9.732 Å, 90.00 90.00 90.00°
Space group Pmmn (No. 59, origin choice 2)
Asymmetric unit:
Ba 0.250 0.067 0.113 x4
Ba 0.250 0.250 0.756 x2
Ba 0.250 0.611 0.534 x4
Ba 0.250 0.750 0.843 x2
Ge 0.250 0.057 0.740 x4
Ge 0.250 0.250 0.412 x2
Ge 0.250 0.618 0.153 x4
N 0.250 0.170 0.294 x4

---

Entry 4:
Theoretical powder diffractogram
Compound: Ac3Pm4Ho
Radiation: Cu Kα
Structure: the GGA-PBE geometry in Alexandria

Most intense lines, 2θ from 5° to 70°, by intensity:
hkl 1 2 2, 29.07°, I 100; hkl 0 4 0, 33.74°, I 34; hkl 1 6 2, 57.52°, I 29; hkl 2 4 0, 48.35°, I 25; hkl 2 0 0, 33.59°, I 17; hkl 3 2 2, 57.31°, I 15; hkl 2 4 4, 60.26°, I 13; hkl 0 4 4, 48.47°, I 12; hkl 0 0 3, 25.11°, I 5; hkl 0 0 1, 8.32°, I 2; hkl 1 2 5, 49.23°, I 2; hkl 2 4 3, 55.29°, I 1

Crystal structure
Cell: 5.337 10.625 10.624 Å, 90.00 90.00 90.00°
Space group Pmmn (No. 59, origin choice 2)
Asymmetric unit:
Ac 0.250 0.005 0.132 x4
Ac 0.250 0.250 0.868 x2
Pm 0.250 0.250 0.381 x2
Pm 0.250 0.504 0.617 x4
Pm 0.250 0.750 0.385 x2
Ho 0.250 0.750 0.863 x2

---

Entry 5:
Theoretical powder diffractogram
Compound: NaLi6Ca
Radiation: Cu Kα
Structure: the GGA-PBE geometry in Alexandria

Most intense lines, 2θ from 5° to 70°, by intensity:
hkl 1 0 2, 22.77°, I 100; hkl 1 2 2, 35.32°, I 57; hkl 0 1 1, 15.30°, I 30; hkl 0 1 3, 26.80°, I 27; hkl 1 0 4, 35.54°, I 25; hkl 2 0 0, 33.82°, I 21; hkl 0 2 0, 26.60°, I 14; hkl 2 1 3, 43.67°, I 13; hkl 0 2 2, 30.89°, I 13; hkl 0 0 2, 15.42°, I 13; hkl 3 0 2, 54.29°, I 11; hkl 3 2 2, 61.48°, I 10

Crystal structure
Cell: 5.301 6.703 11.493 Å, 90.00 90.00 90.00°
Space group Amm2 (No. 38)
Asymmetric unit:
Na 0.000 0.000 0.000 x2
Li 0.000 0.000 0.490 x2
Li 0.000 0.223 0.260 x4
Li 0.500 0.000 0.179 x2
Li 0.500 0.230 0.417 x4
Ca 0.500 0.000 0.674 x2

---

Entry 6:
Theoretical powder diffractogram
Compound: CoNi6W
Radiation: Cu Kα
Structure: the GGA-PBE geometry in Alexandria

Most intense lines, 2θ from 5° to 70°, by intensity:
hkl 2 2 0, 43.75°, I 100; hkl 0 2 4, 44.03°, I 98; hkl 2 0 4, 51.23°, I 62; hkl 1 1 1, 23.25°, I 35; hkl 0 4 0, 50.92°, I 31; hkl 1 1 3, 34.46°, I 15; hkl 0 0 2, 17.66°, I 15; hkl 0 2 2, 30.63°, I 9; hkl 1 3 1, 42.78°, I 8; hkl 0 2 0, 24.82°, I 7; hkl 1 3 3, 50.23°, I 5; hkl 2 2 2, 47.53°, I 5

Crystal structure
Cell: 5.066 7.173 10.043 Å, 90.00 90.00 90.00°
Space group Fmmm (No. 69)
Asymmetric unit:
Co 0.000 0.000 0.000 x4
Ni 0.000 0.000 0.248 x8
Ni 0.250 0.250 0.126 x16
W 0.000 0.000 0.500 x4